Calculated X-ray powder pattern
Compound: Li2AcInSe4
Radiation: Cu Kα (weighted mean of Kα1 and Kα2)
Structure: a PBE-relaxed structure

Cell and atoms:
```
Li2AcInSe4
1.0
2.1228 -7.8766 0.0000
2.1228 7.8766 0.0000
0.0000 0.0000 12.6256
Li Ac In Se
4 2 2 8
Cartesian
2.1228 6.5679 6.8920
2.1228 6.5679 12.0464
2.1228 -6.5679 0.5792
2.1228 -6.5679 5.7336
2.1228 1.3024 9.4692
2.1228 -1.3024 3.1564
2.1228 3.1717 3.1564
2.1228 -3.1717 9.4692
2.1228 6.3945 9.4692
2.1228 5.0173 1.3769
2.1228 5.0173 4.9359
2.1228 0.0000 0.0000
2.1228 0.0000 6.3128
2.1228 -5.0173 7.6898
2.1228 -5.0173 11.2487
2.1228 -6.3945 3.1564
```

Largest 10 diffraction maxima, in order of rising 2θ, 2θ from 5° to 70°:
6.683 Å, 2θ = 13.25°, intensity 25.1; 6.313 Å, 2θ = 14.03°, intensity 67.1; 3.194 Å, 2θ = 27.93°, intensity 100.0; 2.933 Å, 2θ = 30.47°, intensity 26.3; 2.876 Å, 2θ = 31.10°, intensity 36.6; 2.598 Å, 2θ = 34.53°, intensity 37.4; 2.501 Å, 2θ = 35.91°, intensity 28.6; 2.424 Å, 2θ = 37.08°, intensity 19.3; 2.124 Å, 2θ = 42.57°, intensity 30.3; 2.006 Å, 2θ = 45.21°, intensity 22.9